[1]
Theoretical powder diffraction line list of SiO2 for Cu Kα, 1.54184 Å, from a DFT-relaxed cell (GGA-PBE, the Materials Project).
No peak broadening, texture or thermal motion is included.

Main lines, low angle first (5° ≤ 2θ ≤ 70°):
Position (°2θ)	I/Imax
12.51	100
17.09	61
17.73	39
19.59	52
23.31	12
24.72	29
27.80	9
28.20	39
32.85	19
37.57	7

Cell and atoms:
```
SiO2
1.0
-7.0753 7.0753 4.5325
7.0753 -7.0753 4.5325
7.0753 7.0753 -4.5325
Si O
16 32
direct
0.0651 0.9259 0.3410
0.0741 0.4151 0.1392
0.0849 0.4259 0.8608
0.2241 0.0849 0.6590
0.2759 0.9349 0.8608
0.4151 0.2759 0.3410
0.4259 0.5651 0.3410
0.4349 0.7759 0.8608
0.5651 0.2241 0.1392
0.5741 0.4349 0.6590
0.5849 0.7241 0.6590
0.7241 0.0651 0.1392
0.7759 0.9151 0.3410
0.9151 0.5741 0.1392
0.9259 0.5849 0.8608
0.9349 0.0741 0.6590
0.0139 0.7500 0.2639
0.0326 0.5326 0.1601
0.0867 0.7788 0.8654
0.1043 0.1043 0.7086
0.1043 0.3957 0.0000
0.1275 0.9674 0.5000
0.2212 0.0867 0.3079
0.2500 0.5139 0.2639
0.2500 0.9861 0.7361
0.2788 0.5867 0.8654
0.3725 0.8725 0.8399
0.3957 0.1043 0.0000
0.3957 0.3957 0.2914
0.4133 0.2788 0.6921
0.4674 0.6275 0.5000
0.4861 0.7500 0.7361
0.5139 0.2500 0.2639
0.5326 0.3725 0.5000
0.5867 0.7212 0.3079
0.6043 0.6043 0.7086
0.6043 0.8957 0.0000
0.6275 0.1275 0.1601
0.7212 0.4133 0.1346
0.7500 0.0139 0.2639
0.7500 0.4861 0.7361
0.7788 0.9133 0.6921
0.8725 0.0326 0.5000
0.8957 0.6043 0.0000
0.8957 0.8957 0.2914
0.9133 0.2212 0.1346
0.9674 0.4674 0.8399
0.9861 0.2500 0.7361
```

---

[2]
Theoretical powder diffraction line list of Li9Ta11N20 for Cu Kα, 1.54184 Å, from a DFT-relaxed cell (GGA-PBE, the Materials Project).
No peak broadening, texture or thermal motion is included.

Main lines, low angle first (5° ≤ 2θ ≤ 70°):
Position (°2θ)	I/Imax
13.98	20
33.58	21
34.56	31
35.13	89
35.41	29
35.79	26
39.82	22
40.87	100
59.00	46
59.37	32

Cell and atoms:
```
Li9Ta11N20
1.0
1.5658 0.9040 50.6949
-1.5658 0.9040 50.6949
0.0000 -1.8081 50.6949
Li Ta N
9 11 20
direct
0.0000 0.0000 0.0000
0.0494 0.0494 0.0494
0.2507 0.2507 0.2507
0.3001 0.3001 0.3001
0.3502 0.3502 0.3502
0.6498 0.6498 0.6498
0.6999 0.6999 0.6999
0.7493 0.7493 0.7493
0.9506 0.9506 0.9506
0.0997 0.0997 0.0997
0.1500 0.1500 0.1500
0.2000 0.2000 0.2000
0.3999 0.3999 0.3999
0.4498 0.4498 0.4498
0.5000 0.5000 0.5000
0.5502 0.5502 0.5502
0.6001 0.6001 0.6001
0.8000 0.8000 0.8000
0.8500 0.8500 0.8500
0.9003 0.9003 0.9003
0.0252 0.0252 0.0252
0.0741 0.0741 0.0741
0.1250 0.1250 0.1250
0.1750 0.1750 0.1750
0.2251 0.2251 0.2251
0.2737 0.2737 0.2737
0.3250 0.3250 0.3250
0.3748 0.3748 0.3748
0.4261 0.4261 0.4261
0.4750 0.4750 0.4750
0.5250 0.5250 0.5250
0.5739 0.5739 0.5739
0.6252 0.6252 0.6252
0.6750 0.6750 0.6750
0.7263 0.7263 0.7263
0.7749 0.7749 0.7749
0.8250 0.8250 0.8250
0.8750 0.8750 0.8750
0.9259 0.9259 0.9259
0.9748 0.9748 0.9748
```

---

[3]
Theoretical powder diffraction line list of Ni6Ge2B for Cu Kα, 1.54184 Å, from a DFT-relaxed cell (GGA-PBE, the Materials Project).
No peak broadening, texture or thermal motion is included.

Main lines, low angle first (5° ≤ 2θ ≤ 70°):
Position (°2θ)	I/Imax
30.23	8
42.24	100
44.64	52
45.64	36
51.01	29
54.86	24
59.63	5
62.33	4
62.87	13
68.31	5

Cell and atoms:
```
Ni6Ge2B
1.0
6.2021 0.0000 0.0000
-3.1011 5.3712 0.0000
0.0000 0.0000 2.9563
Ni Ge B
6 2 1
direct
0.0000 0.2352 0.0000
0.0000 0.6195 0.5000
0.2352 0.0000 0.0000
0.3805 0.3805 0.5000
0.6195 0.0000 0.5000
0.7648 0.7648 0.0000
0.3333 0.6667 0.0000
0.6667 0.3333 0.0000
0.0000 0.0000 0.5000
```